Record 1
Starting from a crystal structure in the Materials Project, relaxed with GGA-PBE, the PXRD pattern of SmAlGe2O7 was calculated for CuKα.
Intensities are scaled so that the largest is 100.

Structure:
a b c (Å): 7.2809 6.5722 12.8210
angles (deg): 90.00 117.55 90.00
Atoms (fractional coordinates):
Sm (0.2396, 0.1468, 0.4731)
Sm (0.2396, 0.3532, 0.9731)
Sm (0.7604, 0.6468, 0.0269)
Sm (0.7604, 0.8532, 0.5269)
Al (0.2123, 0.1022, 0.7296)
Al (0.2123, 0.3978, 0.2296)
Al (0.7877, 0.6022, 0.7704)
Al (0.7877, 0.8978, 0.2704)
Ge (0.2106, 0.6579, 0.4514)
Ge (0.2106, 0.8421, 0.9514)
Ge (0.3028, 0.5900, 0.7202)
Ge (0.3028, 0.9100, 0.2202)
Ge (0.6972, 0.0900, 0.7798)
Ge (0.6972, 0.4100, 0.2798)
Ge (0.7894, 0.1579, 0.0486)
Ge (0.7894, 0.3421, 0.5486)
O (0.0073, 0.6581, 0.9156)
O (0.0073, 0.8419, 0.4156)
O (0.1587, 0.6815, 0.1870)
O (0.1587, 0.8185, 0.6870)
O (0.2045, 0.0539, 0.8656)
O (0.2045, 0.4461, 0.3656)
O (0.2236, 0.1156, 0.2786)
O (0.2236, 0.3844, 0.7786)
O (0.2477, 0.0008, 0.0734)
O (0.2477, 0.4992, 0.5734)
O (0.4087, 0.6736, 0.9770)
O (0.4087, 0.8264, 0.4770)
O (0.4266, 0.1242, 0.6961)
O (0.4266, 0.3758, 0.1961)
O (0.5734, 0.6242, 0.8039)
O (0.5734, 0.8758, 0.3039)
O (0.5913, 0.1736, 0.5230)
O (0.5913, 0.3264, 0.0230)
O (0.7523, 0.5008, 0.4266)
O (0.7523, 0.9992, 0.9266)
O (0.7764, 0.6156, 0.2214)
O (0.7764, 0.8844, 0.7214)
O (0.7955, 0.5539, 0.6344)
O (0.7955, 0.9461, 0.1344)
O (0.8413, 0.1815, 0.3130)
O (0.8413, 0.3185, 0.8130)
O (0.9927, 0.1581, 0.5844)
O (0.9927, 0.3419, 0.0844)

Largest 10 diffraction maxima, by intensity, 10 to 90 degrees two-theta:
2θ = 27.64°, I = 100; 2θ = 29.87°, I = 96; 2θ = 27.84°, I = 58; 2θ = 31.47°, I = 48; 2θ = 15.59°, I = 46; 2θ = 48.01°, I = 35; 2θ = 33.15°, I = 35; 2θ = 30.84°, I = 32; 2θ = 51.12°, I = 30; 2θ = 36.18°, I = 28

---

Record 2
Starting from a crystal structure in the Materials Project, relaxed with GGA-PBE, the PXRD pattern of Al3GePd4 was calculated for CuKα.
Intensities are scaled so that the largest is 100.

Structure:
a b c (Å): 4.9298 4.9298 4.9298
angles (deg): 90.19 90.19 90.19
Atoms (fractional coordinates):
Al (0.1070, 0.2919, 0.6010)
Al (0.2919, 0.6010, 0.1070)
Al (0.6010, 0.1070, 0.2919)
Ge (0.7951, 0.7951, 0.7951)
Pd (0.0976, 0.0976, 0.0976)
Pd (0.3039, 0.8012, 0.5964)
Pd (0.5964, 0.3039, 0.8012)
Pd (0.8012, 0.5964, 0.3039)

Largest 10 diffraction maxima, by intensity, 10 to 90 degrees two-theta:
2θ = 40.99°, I = 100; 2θ = 40.88°, I = 93; 2θ = 45.00°, I = 67; 2θ = 25.54°, I = 59; 2θ = 71.50°, I = 31; 2θ = 31.39°, I = 29; 2θ = 45.18°, I = 25; 2θ = 36.45°, I = 19; 2θ = 62.44°, I = 17; 2θ = 71.64°, I = 15

---

Record 3
Starting from a crystal structure in the Materials Project, relaxed with GGA-PBE, the PXRD pattern of PrAlGe was calculated for CuKα.
Intensities are scaled so that the largest is 100.

Structure:
a b c (Å): 4.3042 4.3042 14.7955
angles (deg): 90.00 90.00 90.00
Atoms (fractional coordinates):
Pr (0.0000, 0.0000, 0.0000)
Pr (0.0000, 0.5000, 0.2500)
Pr (0.5000, 0.0000, 0.7500)
Pr (0.5000, 0.5000, 0.5000)
Al (0.0000, 0.0000, 0.4161)
Al (0.0000, 0.5000, 0.6661)
Al (0.5000, 0.0000, 0.1661)
Al (0.5000, 0.5000, 0.9161)
Ge (0.0000, 0.0000, 0.5823)
Ge (0.0000, 0.5000, 0.8323)
Ge (0.5000, 0.0000, 0.3323)
Ge (0.5000, 0.5000, 0.0823)

Largest 10 diffraction maxima, by intensity, 10 to 90 degrees two-theta:
2θ = 31.79°, I = 100; 2θ = 36.86°, I = 46; 2θ = 27.50°, I = 41; 2θ = 41.98°, I = 35; 2θ = 57.08°, I = 25; 2θ = 47.95°, I = 22; 2θ = 70.32°, I = 20; 2θ = 65.60°, I = 17; 2θ = 50.92°, I = 15; 2θ = 24.06°, I = 13

---

Record 4
Starting from a crystal structure in the Materials Project, relaxed with GGA-PBE, the PXRD pattern of AlGeRu2 was calculated for CuKα.
Intensities are scaled so that the largest is 100.

Structure:
a b c (Å): 6.0260 6.0260 6.0260
angles (deg): 90.00 90.00 90.00
Atoms (fractional coordinates):
Al (0.0000, 0.0000, 0.0000)
Al (0.0000, 0.5000, 0.5000)
Al (0.5000, 0.0000, 0.5000)
Al (0.5000, 0.5000, 0.0000)
Ge (0.0000, 0.0000, 0.5000)
Ge (0.0000, 0.5000, 0.0000)
Ge (0.5000, 0.0000, 0.0000)
Ge (0.5000, 0.5000, 0.5000)
Ru (0.2500, 0.2500, 0.2500)
Ru (0.2500, 0.2500, 0.7500)
Ru (0.2500, 0.7500, 0.2500)
Ru (0.2500, 0.7500, 0.7500)
Ru (0.7500, 0.2500, 0.2500)
Ru (0.7500, 0.2500, 0.7500)
Ru (0.7500, 0.7500, 0.2500)
Ru (0.7500, 0.7500, 0.7500)

Largest 10 diffraction maxima, by intensity, 10 to 90 degrees two-theta:
2θ = 42.43°, I = 100; 2θ = 77.62°, I = 33; 2θ = 61.56°, I = 16; 2θ = 29.65°, I = 15; 2θ = 25.60°, I = 6; 2θ = 69.80°, I = 5; 2θ = 52.61°, I = 4; 2θ = 50.21°, I = 3; 2θ = 67.79°, I = 1; 2θ = 83.33°, I = 1

---

Record 5
Starting from a crystal structure in the Materials Project, relaxed with GGA-PBE, the PXRD pattern of Sc11Al2Ge8 was calculated for CuKα.
Intensities are scaled so that the largest is 100.

Structure:
a b c (Å): 10.5389 10.5389 10.5389
angles (deg): 120.58 120.58 89.00
Atoms (fractional coordinates):
Sc (0.0588, 0.3103, 0.7486)
Sc (0.1028, 0.4388, 0.3360)
Sc (0.1028, 0.7667, 0.6640)
Sc (0.1693, 0.1693, 0.0000)
Sc (0.2333, 0.8972, 0.3360)
Sc (0.3103, 0.0588, 0.7486)
Sc (0.3103, 0.5617, 0.2514)
Sc (0.3283, 0.3283, 0.6566)
Sc (0.3283, 0.6717, 0.0000)
Sc (0.4383, 0.6897, 0.7486)
Sc (0.4388, 0.1028, 0.3360)
Sc (0.5612, 0.8972, 0.6640)
Sc (0.5617, 0.3103, 0.2514)
Sc (0.6717, 0.3283, 0.0000)
Sc (0.6717, 0.6717, 0.3434)
Sc (0.6897, 0.4383, 0.7486)
Sc (0.6897, 0.9412, 0.2514)
Sc (0.7667, 0.1028, 0.6640)
Sc (0.8307, 0.8307, 0.0000)
Sc (0.8972, 0.2333, 0.3360)
Sc (0.8972, 0.5612, 0.6640)
Sc (0.9412, 0.6897, 0.2514)
Al (0.1271, 0.1271, 0.2543)
Al (0.1271, 0.8729, 0.0000)
Al (0.8729, 0.1271, 0.0000)
Al (0.8729, 0.8729, 0.7457)
Ge (0.0333, 0.0333, 0.4077)
Ge (0.0333, 0.6255, 0.0000)
Ge (0.1471, 0.5000, 0.6471)
Ge (0.2500, 0.7500, 0.5000)
Ge (0.3745, 0.3745, 0.4077)
Ge (0.3745, 0.9667, 0.0000)
Ge (0.3820, 0.3820, 0.0000)
Ge (0.5000, 0.1471, 0.6471)
Ge (0.5000, 0.8529, 0.3529)
Ge (0.6180, 0.6180, 0.0000)
Ge (0.6255, 0.0333, 0.0000)
Ge (0.6255, 0.6255, 0.5923)
Ge (0.7500, 0.2500, 0.5000)
Ge (0.8529, 0.5000, 0.3529)
Ge (0.9667, 0.3745, 0.0000)
Ge (0.9667, 0.9667, 0.5923)

Largest 10 diffraction maxima, by intensity, 10 to 90 degrees two-theta:
2θ = 35.81°, I = 100; 2θ = 36.46°, I = 90; 2θ = 35.51°, I = 53; 2θ = 39.60°, I = 35; 2θ = 39.89°, I = 34; 2θ = 34.34°, I = 32; 2θ = 52.54°, I = 29; 2θ = 47.13°, I = 28; 2θ = 36.20°, I = 27; 2θ = 38.47°, I = 17

---

Record 6
Starting from a crystal structure in the Materials Project, relaxed with GGA-PBE, the PXRD pattern of Sm2AlGe6 was calculated for CuKα.
Intensities are scaled so that the largest is 100.

Structure:
a b c (Å): 6.0324 6.0324 10.6194
angles (deg): 98.20 98.20 92.16
Atoms (fractional coordinates):
Sm (0.1598, 0.6653, 0.6612)
Sm (0.3347, 0.8402, 0.3388)
Sm (0.6653, 0.1598, 0.6612)
Sm (0.8402, 0.3347, 0.3388)
Al (0.1987, 0.1987, 0.8010)
Al (0.8013, 0.8013, 0.1990)
Ge (0.0665, 0.4952, 0.1167)
Ge (0.0699, 0.0699, 0.1167)
Ge (0.1481, 0.1481, 0.5597)
Ge (0.3639, 0.3639, 0.4117)
Ge (0.4909, 0.4909, 0.1170)
Ge (0.4952, 0.0665, 0.1167)
Ge (0.5048, 0.9335, 0.8833)
Ge (0.5091, 0.5091, 0.8830)
Ge (0.6361, 0.6361, 0.5883)
Ge (0.8519, 0.8519, 0.4403)
Ge (0.9301, 0.9301, 0.8833)
Ge (0.9335, 0.5048, 0.8833)

Largest 10 diffraction maxima, by intensity, 10 to 90 degrees two-theta:
2θ = 32.32°, I = 100; 2θ = 32.47°, I = 95; 2θ = 41.57°, I = 47; 2θ = 36.95°, I = 43; 2θ = 34.52°, I = 43; 2θ = 33.07°, I = 42; 2θ = 43.24°, I = 40; 2θ = 36.72°, I = 28; 2θ = 61.54°, I = 23; 2θ = 26.74°, I = 23

---

Record 7
Starting from a crystal structure in the Materials Project, relaxed with GGA-PBE, the PXRD pattern of SrAlGe was calculated for CuKα.
Intensities are scaled so that the largest is 100.

Structure:
a b c (Å): 4.3284 4.3284 4.7663
angles (deg): 90.00 90.00 120.00
Atoms (fractional coordinates):
Sr (0.0000, 0.0000, 0.0000)
Al (0.6667, 0.3333, 0.5000)
Ge (0.3333, 0.6667, 0.5000)

Largest 10 diffraction maxima, by intensity, 10 to 90 degrees two-theta:
2θ = 30.34°, I = 100; 2θ = 41.74°, I = 35; 2θ = 57.52°, I = 27; 2θ = 52.46°, I = 21; 2θ = 69.17°, I = 18; 2θ = 37.75°, I = 16; 2θ = 23.74°, I = 13; 2θ = 63.61°, I = 12; 2θ = 88.32°, I = 8; 2θ = 79.00°, I = 6

---

Record 8
Starting from a crystal structure in the Materials Project, relaxed with GGA-PBE, the PXRD pattern of Sr3Al2Ge4 was calculated for CuKα.
Intensities are scaled so that the largest is 100.

Structure:
a b c (Å): 6.7103 6.7103 8.9551
angles (deg): 109.12 109.12 36.62
Atoms (fractional coordinates):
Sr (0.0000, 0.0000, 0.0000)
Sr (0.3940, 0.3940, 0.3130)
Sr (0.6060, 0.6060, 0.6870)
Al (0.2949, 0.2949, 0.6501)
Al (0.7051, 0.7051, 0.3499)
Ge (0.1063, 0.1063, 0.3915)
Ge (0.2884, 0.2884, 0.9443)
Ge (0.7116, 0.7116, 0.0557)
Ge (0.8937, 0.8937, 0.6085)

Largest 10 diffraction maxima, by intensity, 10 to 90 degrees two-theta:
2θ = 30.00°, I = 100; 2θ = 32.73°, I = 55; 2θ = 42.89°, I = 40; 2θ = 31.94°, I = 37; 2θ = 38.71°, I = 32; 2θ = 35.16°, I = 31; 2θ = 30.18°, I = 26; 2θ = 30.87°, I = 23; 2θ = 46.59°, I = 19; 2θ = 55.05°, I = 16

---

Record 9
Starting from a crystal structure in the Materials Project, relaxed with GGA-PBE, the PXRD pattern of Sr3Al2Ge2 was calculated for CuKα.
Intensities are scaled so that the largest is 100.

Structure:
a b c (Å): 4.2519 4.8667 19.3880
angles (deg): 90.00 90.00 90.00
Atoms (fractional coordinates):
Sr (0.0000, 0.0000, 0.0000)
Sr (0.0000, 0.5000, 0.3155)
Sr (0.0000, 0.5000, 0.6845)
Sr (0.5000, 0.0000, 0.1845)
Sr (0.5000, 0.0000, 0.8155)
Sr (0.5000, 0.5000, 0.5000)
Al (0.0000, 0.0000, 0.4336)
Al (0.0000, 0.0000, 0.5664)
Al (0.5000, 0.5000, 0.0664)
Al (0.5000, 0.5000, 0.9336)
Ge (0.0000, 0.5000, 0.1412)
Ge (0.0000, 0.5000, 0.8588)
Ge (0.5000, 0.0000, 0.3588)
Ge (0.5000, 0.0000, 0.6412)

Largest 10 diffraction maxima, by intensity, 10 to 90 degrees two-theta:
2θ = 29.41°, I = 100; 2θ = 33.54°, I = 31; 2θ = 36.94°, I = 24; 2θ = 38.80°, I = 21; 2θ = 27.61°, I = 17; 2θ = 42.52°, I = 16; 2θ = 27.86°, I = 16; 2θ = 54.65°, I = 16; 2θ = 52.57°, I = 15; 2θ = 57.57°, I = 13

---

Please write out number 8 again, unchanged.
Starting from a crystal structure in the Materials Project, relaxed with GGA-PBE, the PXRD pattern of Sr3Al2Ge4 was calculated for CuKα.
Intensities are scaled so that the largest is 100.

Structure:
a b c (Å): 6.7103 6.7103 8.9551
angles (deg): 109.12 109.12 36.62
Atoms (fractional coordinates):
Sr (0.0000, 0.0000, 0.0000)
Sr (0.3940, 0.3940, 0.3130)
Sr (0.6060, 0.6060, 0.6870)
Al (0.2949, 0.2949, 0.6501)
Al (0.7051, 0.7051, 0.3499)
Ge (0.1063, 0.1063, 0.3915)
Ge (0.2884, 0.2884, 0.9443)
Ge (0.7116, 0.7116, 0.0557)
Ge (0.8937, 0.8937, 0.6085)

Largest 10 diffraction maxima, by intensity, 10 to 90 degrees two-theta:
2θ = 30.00°, I = 100; 2θ = 32.73°, I = 55; 2θ = 42.89°, I = 40; 2θ = 31.94°, I = 37; 2θ = 38.71°, I = 32; 2θ = 35.16°, I = 31; 2θ = 30.18°, I = 26; 2θ = 30.87°, I = 23; 2θ = 46.59°, I = 19; 2θ = 55.05°, I = 16

---

> What is the formula in the fourth record?

AlGeRu2